The following is a calculated PXRD pattern of CsInGaF6. It was derived from a crystal structure in Alexandria, relaxed with GGA-PBE, using a wavelength of 1.5418 Å.
Peak positions follow from Bragg's law for the DFT cell and can differ from measured ones.

Principal peaks in the range 2θ from 15° to 90°, sorted by position:
h k l	2θ (°)	I (rel.)
1 1 1	22.52	100
0 0 2	28.26	10
2 0 0	30.62	30
0 4 1	38.35	20
1 3 -2	42.13	33
2 0 2	42.22	10
1 1 -3	46.74	11
2 4 -1	49.83	18
0 4 3	56.92	9
2 0 -4	67.43	8

Structural model:
Lattice parameters (Å, degrees): 5.8323 10.1260 6.3151 90.00 90.10 90.00
Space group C2 (No. 5)
One atom of each set of equivalent atoms:
Cs1 0.0000 0.0000 0.0000 [2 per cell]
In1 0.0000 0.3335 0.5000 [2 per cell]
Ga1 0.0000 0.6665 0.5000 [2 per cell]
F1 0.1134 0.5230 0.3230 [4 per cell]
F2 0.1577 0.7954 0.3235 [4 per cell]
F3 0.2265 0.1812 0.3238 [4 per cell]



The following is a calculated PXRD pattern of Cs2KGa3F12. It was derived from a crystal structure in Alexandria, relaxed with GGA-PBE, using a wavelength of 1.5418 Å.
Peak positions follow from Bragg's law for the DFT cell and can differ from measured ones.

Principal peaks in the range 2θ from 15° to 90°, sorted by position:
h k l	2θ (°)	I (rel.)
1 0 4	23.31	64
0 1 5	27.36	50
1 1 3	27.60	89
0 2 1	27.72	100
2 0 2	28.94	36
0 3 3	44.03	31
2 0 8	47.66	25
2 2 0	48.27	52
0 2 10	56.41	33
2 2 9	66.82	24

Structural model:
Lattice parameters (Å, degrees): 7.5420 7.5420 18.8121 90.00 90.00 120.00
Space group R-3m (No. 166, hexagonal axes)
One atom of each set of equivalent atoms:
Cs1 0.0000 0.0000 0.1177 [6 per cell]
K1 0.0000 0.0000 0.5000 [3 per cell]
Ga1 0.0000 0.5000 0.0000 [9 per cell]
F1 0.0247 0.5124 0.9023 [18 per cell]
F2 0.0794 0.5397 0.3249 [18 per cell]



The following is a calculated PXRD pattern of CsK2GaF6. It was derived from a crystal structure in Alexandria, relaxed with GGA-PBE, using a wavelength of 1.5418 Å.
Peak positions follow from Bragg's law for the DFT cell and can differ from measured ones.

Principal peaks in the range 2θ from 15° to 90°, sorted by position:
h k l	2θ (°)	I (rel.)
1 1 -1	19.32	74
0 0 2	19.82	32
0 2 0	26.29	46
1 1 1	27.60	100
1 1 -3	28.03	94
2 0 -2	28.57	40
2 2 -2	39.21	46
1 3 1	47.21	27
0 2 4	48.73	24
3 1 -1	49.74	26

Structural model:
Lattice parameters (Å, degrees): 6.2510 6.7801 10.8199 90.00 124.12 90.00
Space group P2_1/c (No. 14)
One atom of each set of equivalent atoms:
Cs1 0.0000 0.0000 0.0000 [2 per cell]
K1 0.2202 0.0301 0.7277 [4 per cell]
Ga1 0.5000 0.0000 0.5000 [2 per cell]
F1 0.2183 0.1465 0.4797 [4 per cell]
F2 0.2600 0.7176 0.8916 [4 per cell]
F3 0.4256 0.1111 0.3144 [4 per cell]